Diffraction record for Sr4MgIn2Sb2O12. The X-ray diffraction stick pattern is calculated, not measured: it uses a DFT-relaxed cell (PBE, the Materials Project) and Cu Kα X-rays.
Neutral-atom scattering factors, no anomalous dispersion.

```
data_Sr4MgIn2Sb2O12
_symmetry_space_group_name_H-M 'P 1'
_symmetry_Int_Tables_number 1
_cell_length_a 5.9277
_cell_length_b 6.2132
_cell_length_c 8.5868
_cell_angle_alpha 88.90
_cell_angle_beta 88.16
_cell_angle_gamma 87.12
loop_
_symmetry_equiv_pos_as_xyz
'x,y,z'
loop_
_atom_site_label
_atom_site_type_symbol
_atom_site_fract_x
_atom_site_fract_y
_atom_site_fract_z
_atom_site_occupancy
Sr1 Sr 0.0000 0.0000 0.0000 1
Sr2 Sr 0.0388 0.1627 0.5418 1
Sr3 Sr 0.5206 0.6530 0.5455 1
Sr4 Sr 0.6406 0.5481 0.0590 1
Mg1 Mg 0.2037 0.3578 0.1264 1
In1 In 0.0528 0.6574 0.3323 1
In2 In 0.5138 0.1020 0.7815 1
Sb1 Sb 0.0411 0.5916 0.7761 1
Sb2 Sb 0.5595 0.0937 0.3083 1
O1 O 0.1408 0.6156 0.9967 1
O2 O 0.2190 0.8638 0.7249 1
O3 O 0.2674 0.9325 0.3543 1
O4 O 0.3020 0.3895 0.7028 1
O5 O 0.3651 0.4744 0.3021 1
O6 O 0.4040 0.1501 0.0136 1
O7 O 0.6347 0.0634 0.5428 1
O8 O 0.7577 0.7936 0.8339 1
O9 O 0.7711 0.8318 0.2395 1
O10 O 0.8536 0.3274 0.8357 1
O11 O 0.9147 0.3398 0.2383 1
O12 O 0.9304 0.5742 0.5577 1
```

Peak list (10 most intense, 15° ≤ 2θ ≤ 90°, by angle)
hkl, 2θ/deg, I (rel.)
1 1 2, 28.6, 36
0 2 0, 28.8, 37
1 1 -2, 29.7, 100
-1 1 2, 30.0, 38
2 0 0, 30.2, 37
2 2 0, 41.1, 20
0 0 4, 42.1, 26
2 -2 0, 43.3, 15
1 3 -2, 51.3, 13
0 2 -4, 52.3, 14